No. 1
Simulated XRD peak list
Compound: Ce3PPb
Radiation: Cu Kα, 1.54184 Å
Structure: DFT lattice parameters and positions (PBE)
Peak positions follow from Bragg's law for the DFT cell and can differ from measured ones.

Peak list (10 most intense, 10 to 90 degrees two-theta, low angle first)
2θ (°)	I/Imax	hkl
29.2	754	1 1 3
30.1	595	2 1 1
30.6	640	1 0 5
31.8	1000	2 1 2
33.0	230	1 1 4
33.2	228	3 0 2
35.9	250	0 1 5
41.8	305	3 1 3
42.8	381	0 2 0
53.6	268	1 2 5

Atomic structure:
```
data_Ce3PPb
_chemical_formula_sum 'Ce12 P4 Pb4'
_space_group_name_H-M_alt 'P n m a'
_space_group_IT_number 62
_cell_length_a 8.6400
_cell_length_b 4.2242
_cell_length_c 15.4947
_cell_angle_alpha 90.00
_cell_angle_beta 90.00
_cell_angle_gamma 90.00
loop_
_space_group_symop_operation_xyz
'x,y,z'
'-x,-y,-z'
'-x+1/2,-y,z+1/2'
'x+1/2,y,-z+1/2'
'x+1/2,-y+1/2,-z+1/2'
'-x+1/2,y+1/2,z+1/2'
'-x,y+1/2,-z'
'x,-y+1/2,z'
loop_
_atom_site_label
_atom_site_type_symbol
_atom_site_fract_x
_atom_site_fract_y
_atom_site_fract_z
Ce1 Ce 0.0263 0.2500 0.1074
Ce2 Ce 0.1329 0.2500 0.5060
Ce3 Ce 0.1900 0.7500 0.2830
P1 P 0.1736 0.2500 0.9450
Pb1 Pb 0.0916 0.7500 0.6750
```


No. 2
Simulated XRD peak list
Compound: Sb8Cl2O11
Radiation: Cu Kα, 1.54184 Å
Structure: DFT lattice parameters and positions (PBE)
Peak positions follow from Bragg's law for the DFT cell and can differ from measured ones.

Peak list (10 most intense, 10 to 90 degrees two-theta, low angle first)
2θ (°)	I/Imax	hkl
14.2	399	0 0 2
18.7	1000	0 1 2
20.4	955	0 2 0
23.2	567	0 2 -2
25.1	642	1 1 0
26.0	581	1 0 2
29.5	436	1 -2 2
29.9	851	1 0 -3
30.3	513	1 -1 3
31.8	417	0 2 3

Atomic structure:
```
data_Sb8Cl2O11
_chemical_formula_sum 'Sb8 Cl2 O11'
_space_group_name_H-M_alt 'P -1'
_space_group_IT_number 2
_cell_length_a 4.2458
_cell_length_b 8.9178
_cell_length_c 12.5658
_cell_angle_alpha 97.91
_cell_angle_beta 90.28
_cell_angle_gamma 99.43
loop_
_space_group_symop_operation_xyz
'x,y,z'
'-x,-y,-z'
loop_
_atom_site_label
_atom_site_type_symbol
_atom_site_fract_x
_atom_site_fract_y
_atom_site_fract_z
Sb1 Sb 0.0832 0.4655 0.3570
Sb2 Sb 0.3246 0.1361 0.4287
Sb3 Sb 0.3313 0.0660 0.8049
Sb4 Sb 0.3942 0.4774 0.8387
Cl1 Cl 0.2717 0.8155 0.0445
O1 O 0.0000 0.0000 0.5000
O2 O 0.0044 0.2381 0.3584
O3 O 0.1038 0.4878 0.2006
O4 O 0.3220 0.2663 0.7572
O5 O 0.3272 0.9829 0.2977
O6 O 0.4085 0.5601 0.6942
```


No. 3
Simulated XRD peak list
Compound: PmMgHg
Radiation: Cu Kα, 1.54184 Å
Structure: DFT lattice parameters and positions (PBE)
Peak positions follow from Bragg's law for the DFT cell and can differ from measured ones.

Peak list (10 most intense, 10 to 90 degrees two-theta, low angle first)
2θ (°)	I/Imax	hkl
23.3	313	1 0 1
23.6	462	1 1 0
30.3	555	1 1 1
33.4	1000	2 0 1
38.2	275	0 0 2
41.3	342	2 1 1
41.4	299	3 0 0
45.4	172	1 1 2
57.6	230	3 0 2
65.3	217	3 2 1

Atomic structure:
```
data_PmMgHg
_chemical_formula_sum 'Pm3 Mg3 Hg3'
_space_group_name_H-M_alt 'P -6 2 m'
_space_group_IT_number 189
_space_group_name_Hall 'P -6 -2'
_cell_length_a 7.5465
_cell_length_b 7.5465
_cell_length_c 4.7157
_cell_angle_alpha 90.00
_cell_angle_beta 90.00
_cell_angle_gamma 120.00
loop_
_atom_site_label
_atom_site_type_symbol
_atom_site_fract_x
_atom_site_fract_y
_atom_site_fract_z
Pm1 Pm 0.0000 0.4187 0.0000
Mg1 Mg 0.0000 0.7595 0.5000
Hg1 Hg 0.0000 0.0000 0.0000
Hg2 Hg 0.3333 0.6667 0.5000
```


No. 4
Simulated XRD peak list
Compound: Tb5Pt2
Radiation: Cu Kα, 1.54184 Å
Structure: DFT lattice parameters and positions (PBE)
Peak positions follow from Bragg's law for the DFT cell and can differ from measured ones.

Peak list (10 most intense, 10 to 90 degrees two-theta, low angle first)
2θ (°)	I/Imax	hkl
19.6	809	1 1 0
29.9	764	2 1 1
30.5	1000	1 0 3
31.3	596	2 1 2
31.6	886	0 2 2
32.4	841	2 1 0
34.3	734	1 -1 3
34.9	753	2 0 -1
35.5	715	0 2 -2
40.5	612	1 3 1

Atomic structure:
```
data_Tb5Pt2
_chemical_formula_sum 'Tb10 Pt4'
_space_group_name_H-M_alt 'P -1'
_space_group_IT_number 2
_cell_length_a 6.6067
_cell_length_b 7.0936
_cell_length_c 8.8707
_cell_angle_alpha 83.87
_cell_angle_beta 68.18
_cell_angle_gamma 90.00
loop_
_space_group_symop_operation_xyz
'x,y,z'
'-x,-y,-z'
loop_
_atom_site_label
_atom_site_type_symbol
_atom_site_fract_x
_atom_site_fract_y
_atom_site_fract_z
Tb1 Tb 0.0185 0.0737 0.1886
Tb2 Tb 0.2071 0.4263 0.8112
Tb3 Tb 0.2133 0.6885 0.4399
Tb4 Tb 0.3465 0.1884 0.4401
Tb5 Tb 0.4357 0.7500 0.9999
Pt1 Pt 0.1812 0.4289 0.2230
Pt2 Pt 0.4043 0.0711 0.7769
```